This entry pairs a crystal structure of KMo3P2O14 with its calculated powder X-ray diffraction pattern. Radiation: λ = 1.5418 Å (Cu Kα). Structure: a cell relaxed with GGA+U.

Top 10 peaks for 5° ≤ 2θ ≤ 70°, in order of falling intensity:
two_theta  I_rel
27.39  100
21.12  63
24.06  50
10.54  44
26.55  37
16.22  30
25.25  17
56.59  17
22.32  15
51.46  14

Atomic structure:
a = 9.008 Å, b = 6.506 Å, c = 10.807 Å
α = 90.00°, β = 111.24°, γ = 90.00°
Space group P2_1/m (No. 11)
Symmetry-distinct sites (fractional):
K  0.011  0.250  0.248 [2 per cell]
Mo  0.261  0.750  0.173 [2 per cell]
Mo  0.275  0.750  0.495 [2 per cell]
Mo  0.341  0.250  0.877 [2 per cell]
P  0.356  0.250  0.564 [2 per cell]
P  0.389  0.250  0.198 [2 per cell]
O  0.097  0.750  0.030 [2 per cell]
O  0.122  0.750  0.553 [2 per cell]
O  0.158  0.750  0.298 [2 per cell]
O  0.226  0.035  0.869 [4 per cell]
O  0.280  0.061  0.191 [4 per cell]
O  0.287  0.061  0.475 [4 per cell]
O  0.295  0.250  0.680 [2 per cell]
O  0.435  0.750  0.115 [2 per cell]
O  0.447  0.250  0.080 [2 per cell]
O  0.460  0.750  0.386 [2 per cell]
O  0.467  0.750  0.672 [2 per cell]